Record 1
# ReHBr
Simulated XRD peak list, Cu Kα. Input: a crystal structure in Alexandria, relaxed with PBE.

Most intense lines, 10 to 90 degrees two-theta, low angle first:
2θ (°)  d [Å]  I (rel.)
11.76  7.525  100
14.90  5.945  92
15.67  5.656  55
23.46  3.792  28
24.90  3.575  38
36.17  2.483  43

Structural model:
Unit cell a=6.602 b=6.602 c=8.375 alpha=114.74 beta=114.74 gamma=35.11
Element x y z (fractional)
Re  0.000  0.000  0.000
Re  0.512  0.512  0.836
Re  0.864  0.864  0.699
H  0.125  0.125  0.971
H  0.583  0.583  0.064
H  0.963  0.963  0.620
Br  0.271  0.271  0.458
Br  0.645  0.645  0.684
Br  0.927  0.927  0.223

---

Record 2
# ZnFe2Au
Simulated XRD peak list, Cu Kα. Input: a crystal structure in Alexandria, relaxed with PBE.

Most intense lines, 10 to 90 degrees two-theta, low angle first:
2θ (°)  d [Å]  I (rel.)
20.20  4.397  59
22.62  3.932  32
40.34  2.236  100
41.06  2.198  95
46.18  1.966  34
47.71  1.906  31

Structural model:
Unit cell a=5.303 b=7.863 c=2.718 alpha=90.00 beta=90.48 gamma=90.00
Element x y z (fractional)
Zn  0.000  0.000  0.000
Zn  0.500  0.500  0.000
Fe  0.250  0.250  0.500
Fe  0.250  0.750  0.500
Fe  0.750  0.250  0.500
Fe  0.750  0.750  0.500
Au  0.000  0.500  0.000
Au  0.500  0.000  0.000

---

Record 3
# SrSi2
Simulated XRD peak list, Cu Kα. Input: a crystal structure in Alexandria, relaxed with PBE.

Most intense lines, 10 to 90 degrees two-theta, low angle first:
2θ (°)  d [Å]  I (rel.)
30.48  2.933  100
33.47  2.677  61
45.90  1.977  19
52.19  1.753  35
65.20  1.431  19
78.56  1.218  19

Structural model:
Unit cell a=6.557 b=6.557 c=6.557 alpha=90.00 beta=90.00 gamma=90.00
Element x y z (fractional)
Sr  0.125  0.375  0.625
Sr  0.375  0.625  0.125
Sr  0.625  0.125  0.375
Sr  0.875  0.875  0.875
Si  0.078  0.922  0.422
Si  0.172  0.172  0.172
Si  0.328  0.828  0.672
Si  0.422  0.078  0.922
Si  0.578  0.578  0.578
Si  0.672  0.328  0.828
Si  0.828  0.672  0.328
Si  0.922  0.422  0.078

---

Record 4
# GeBiPd2
Simulated XRD peak list, Cu Kα. Input: a crystal structure in Alexandria, relaxed with PBE.

Most intense lines, 10 to 90 degrees two-theta, low angle first:
2θ (°)  d [Å]  I (rel.)
30.18  2.961  100
30.85  2.898  49
37.43  2.403  36
40.05  2.251  38
40.84  2.209  45
46.40  1.957  49

Structural model:
Unit cell a=7.710 b=6.818 c=5.999 alpha=90.00 beta=91.60 gamma=90.00
Element x y z (fractional)
Ge  0.111  0.052  0.312
Ge  0.111  0.448  0.812
Ge  0.889  0.552  0.188
Ge  0.889  0.948  0.688
Bi  0.381  0.596  0.223
Bi  0.381  0.904  0.723
Bi  0.619  0.096  0.277
Bi  0.619  0.404  0.777
Pd  0.088  0.696  0.498
Pd  0.088  0.804  0.998
Pd  0.309  0.215  0.027
Pd  0.309  0.285  0.527
Pd  0.691  0.715  0.473
Pd  0.691  0.785  0.973
Pd  0.912  0.196  0.002
Pd  0.912  0.304  0.502